# 1
Computed X-ray diffraction stick pattern of Sr3Ga2Si for λ = 1.5418 Å (Cu Kα), from a DFT-relaxed cell (GGA-PBE, Alexandria).
Intensities are scaled so that the largest is 100.

Principal peaks in the range 2θ from 10° to 90°, sorted by position:
24.48 deg, d = 3.636 Å, rel. 26; 28.42 deg, d = 3.140 Å, rel. 100; 28.94 deg, d = 3.085 Å, rel. 93; 29.79 deg, d = 3.000 Å, rel. 60; 30.34 deg, d = 2.946 Å, rel. 63; 32.48 deg, d = 2.757 Å, rel. 40; 35.97 deg, d = 2.497 Å, rel. 31; 37.45 deg, d = 2.401 Å, rel. 36; 39.31 deg, d = 2.292 Å, rel. 24; 42.77 deg, d = 2.114 Å, rel. 43

Cell lengths 12.934, 4.229, 13.532 Å; angles 90.00, 90.00, 90.00 degrees
Space group Pnma (No. 62)
Symmetry-distinct sites (fractional):
Sr 0.068 0.250 0.124 (multiplicity 4)
Sr 0.115 0.750 0.553 (multiplicity 4)
Sr 0.200 0.250 0.793 (multiplicity 4)
Ga 0.037 0.750 0.315 (multiplicity 4)
Ga 0.199 0.750 0.982 (multiplicity 4)
Si 0.134 0.250 0.369 (multiplicity 4)

# 2
Computed X-ray diffraction stick pattern of Er2Tm4Tl for λ = 1.5418 Å (Cu Kα), from a DFT-relaxed cell (GGA-PBE, Alexandria).
Intensities are scaled so that the largest is 100.

Principal peaks in the range 2θ from 10° to 90°, sorted by position:
29.04 deg, d = 3.075 Å, rel. 37; 30.15 deg, d = 2.964 Å, rel. 33; 32.81 deg, d = 2.730 Å, rel. 89; 32.94 deg, d = 2.719 Å, rel. 76; 33.24 deg, d = 2.695 Å, rel. 70; 33.73 deg, d = 2.657 Å, rel. 82; 34.01 deg, d = 2.636 Å, rel. 100; 34.09 deg, d = 2.630 Å, rel. 49; 52.03 deg, d = 1.758 Å, rel. 34; 62.94 deg, d = 1.477 Å, rel. 26

Cell lengths 3.515, 10.684, 22.346 Å; angles 89.04, 85.65, 80.57 degrees
Space group P-1 (No. 2)
Symmetry-distinct sites (fractional):
Er 0.000 0.092 0.403 (multiplicity 2)
Er 0.098 0.407 0.897 (multiplicity 2)
Er 0.349 0.128 0.682 (multiplicity 2)
Er 0.479 0.358 0.176 (multiplicity 2)
Tm 0.067 0.108 0.245 (multiplicity 2)
Tm 0.170 0.424 0.738 (multiplicity 2)
Tm 0.176 0.600 0.548 (multiplicity 2)
Tm 0.226 0.102 0.948 (multiplicity 2)
Tm 0.250 0.816 0.184 (multiplicity 2)
Tm 0.401 0.168 0.531 (multiplicity 2)
Tm 0.421 0.327 0.324 (multiplicity 2)
Tm 0.430 0.660 0.974 (multiplicity 2)
Tl 0.138 0.125 0.102 (multiplicity 2)
Tl 0.241 0.626 0.388 (multiplicity 2)

# 3
Computed X-ray diffraction stick pattern of BeTl2PSe4 for λ = 1.5418 Å (Cu Kα), from a DFT-relaxed cell (GGA-PBE, Alexandria).
Intensities are scaled so that the largest is 100.

Principal peaks in the range 2θ from 10° to 90°, sorted by position:
15.90 deg, d = 5.575 Å, rel. 17; 16.98 deg, d = 5.222 Å, rel. 23; 27.15 deg, d = 3.284 Å, rel. 25; 28.37 deg, d = 3.146 Å, rel. 100; 30.20 deg, d = 2.959 Å, rel. 26; 30.67 deg, d = 2.915 Å, rel. 23; 34.08 deg, d = 2.630 Å, rel. 18; 34.28 deg, d = 2.616 Å, rel. 21; 43.32 deg, d = 2.088 Å, rel. 16; 51.30 deg, d = 1.781 Å, rel. 14

Cell lengths 9.488, 8.438, 6.685 Å; angles 90.00, 128.48, 90.00 degrees
Space group C2 (No. 5)
Symmetry-distinct sites (fractional):
Be 0.000 0.000 0.000 (multiplicity 2)
Tl 0.000 0.197 0.500 (multiplicity 2)
Tl 0.000 0.465 0.000 (multiplicity 2)
P 0.000 0.722 0.500 (multiplicity 2)
Se 0.143 0.875 0.385 (multiplicity 4)
Se 0.226 0.143 0.064 (multiplicity 4)

# 4
Computed X-ray diffraction stick pattern of BaAc2Tc2N6 for λ = 1.5418 Å (Cu Kα), from a DFT-relaxed cell (GGA-PBE, Alexandria).
Intensities are scaled so that the largest is 100.

Principal peaks in the range 2θ from 10° to 90°, sorted by position:
15.98 deg, d = 5.547 Å, rel. 36; 23.65 deg, d = 3.762 Å, rel. 51; 24.65 deg, d = 3.611 Å, rel. 65; 26.32 deg, d = 3.386 Å, rel. 60; 26.94 deg, d = 3.309 Å, rel. 100; 28.33 deg, d = 3.151 Å, rel. 29; 28.48 deg, d = 3.134 Å, rel. 39; 28.82 deg, d = 3.097 Å, rel. 92; 30.58 deg, d = 2.923 Å, rel. 49; 32.95 deg, d = 2.718 Å, rel. 34

Cell lengths 6.211, 6.345, 6.968 Å; angles 69.27, 67.25, 63.68 degrees
Space group P-1 (No. 2)
Symmetry-distinct sites (fractional):
Ba 0.000 0.000 0.000 (multiplicity 1)
Ac 0.257 0.323 0.270 (multiplicity 2)
Tc 0.420 0.380 0.686 (multiplicity 2)
N 0.158 0.333 0.657 (multiplicity 2)
N 0.311 0.578 0.869 (multiplicity 2)
N 0.326 0.891 0.259 (multiplicity 2)